(1)
Computed XRD peak list of AcTb2Cu6 for Cu Kα (weighted mean of Kα1 and Kα2), from a DFT-relaxed cell (GGA-PBE, Alexandria).

Principal peaks in the range 2θ from 10° to 80°, low angle first:
d_spacing  I (rel.)
3.710  22.9
2.644  100.0
2.142  44.5
1.664  24.6
1.415  22.7
1.314  22.0

```
AcTb2Cu6
1.0
7.4205 0.0000 0.0000
-3.7102 6.4263 0.0000
0.0000 0.0000 3.7693
Ac Tb Cu
1 2 6
direct
0.0000 0.0000 0.0000 Ac
0.3333 0.6667 0.0000 Tb
0.6667 0.3333 0.0000 Tb
0.0000 0.3383 0.5000 Cu
0.0000 0.6617 0.5000 Cu
0.3383 0.0000 0.5000 Cu
0.3383 0.3383 0.5000 Cu
0.6617 0.0000 0.5000 Cu
0.6617 0.6617 0.5000 Cu
```


(2)
Computed XRD peak list of AcTbCu4 for Cu Kα (weighted mean of Kα1 and Kα2), from a DFT-relaxed cell (GGA-PBE, Alexandria).

Principal peaks in the range 2θ from 10° to 80°, low angle first:
d_spacing  I (rel.)
3.678  25.8
2.721  49.2
2.661  100.0
2.185  44.7
1.660  22.4
1.445  22.9

```
AcTbCu4
1.0
-2.0945 3.8411 3.8538
2.0945 -3.8411 3.8538
2.0945 3.8411 -3.8538
Ac Tb Cu
1 1 4
direct
0.0000 0.0000 0.0000 Ac
0.5000 0.5000 0.0000 Tb
0.1021 0.7649 0.3372 Cu
0.4277 0.7649 0.6628 Cu
0.5723 0.2351 0.3372 Cu
0.8979 0.2351 0.6628 Cu
```


(3)
Computed XRD peak list of AcTbCu2Te4 for Cu Kα (weighted mean of Kα1 and Kα2), from a DFT-relaxed cell (GGA-PBE, Alexandria).

Principal peaks in the range 2θ from 10° to 80°, low angle first:
d_spacing  I (rel.)
5.378  31.7
3.358  89.7
2.907  60.7
2.793  63.9
2.690  100.0
1.996  38.9

```
AcTbCu2Te4
1.0
-3.6738 3.9469 4.2988
3.6738 -3.9469 4.2988
3.6738 3.9469 -4.2988
Ac Tb Cu Te
1 1 2 4
direct
0.0000 0.0000 0.0000 Ac
0.5000 0.5000 0.0000 Tb
0.3551 0.8551 0.5000 Cu
0.6449 0.1449 0.5000 Cu
0.0911 0.0496 0.5440 Te
0.4945 0.9504 0.0415 Te
0.5055 0.5471 0.4560 Te
0.9089 0.4529 0.9585 Te
```


(4)
Computed XRD peak list of Ac2CuTe4 for Cu Kα (weighted mean of Kα1 and Kα2), from a DFT-relaxed cell (GGA-PBE, Alexandria).

Principal peaks in the range 2θ from 10° to 80°, low angle first:
d_spacing  I (rel.)
3.417  100.0
3.028  64.0
2.998  36.1
2.632  61.2
2.363  43.1
2.325  34.2

```
Ac2CuTe4
1.0
7.9095 0.0000 0.0000
0.0000 6.5311 0.0000
-2.7358 0.0000 8.8873
Ac Cu Te
4 2 8
direct
0.2328 0.2500 0.4361 Ac
0.2355 0.2500 0.9308 Ac
0.7645 0.7500 0.0692 Ac
0.7672 0.7500 0.5639 Ac
0.2338 0.7500 0.6846 Cu
0.7662 0.2500 0.3154 Cu
0.0812 0.7500 0.8960 Te
0.0867 0.7500 0.3958 Te
0.4943 0.5042 0.2471 Te
0.4943 0.9958 0.2471 Te
0.5057 0.0042 0.7529 Te
0.5057 0.4958 0.7529 Te
0.9133 0.2500 0.6042 Te
0.9188 0.2500 0.1040 Te
```


(5)
Computed XRD peak list of Ac2ThCuTe5 for Cu Kα (weighted mean of Kα1 and Kα2), from a DFT-relaxed cell (GGA-PBE, Alexandria).

Principal peaks in the range 2θ from 10° to 80°, low angle first:
d_spacing  I (rel.)
3.149  100.0
3.130  21.1
2.909  17.5
2.680  46.5
2.304  25.1
2.214  24.4

```
Ac2ThCuTe5
1.0
2.2139 -9.6395 0.0000
2.2139 9.6395 0.0000
0.0000 0.0000 13.8188
Ac Th Cu Te
4 2 2 10
direct
0.1149 0.8851 0.5000 Ac
0.1200 0.8800 0.8548 Ac
0.8800 0.1200 0.3548 Ac
0.8851 0.1149 0.0000 Ac
0.1776 0.8224 0.1781 Th
0.8224 0.1776 0.6781 Th
0.4381 0.5619 0.5793 Cu
0.5619 0.4381 0.0793 Cu
0.0202 0.9798 0.1696 Te
0.3046 0.6954 0.8426 Te
0.3079 0.6921 0.5144 Te
0.3433 0.6567 0.1761 Te
0.4976 0.5024 0.9105 Te
0.5024 0.4976 0.4105 Te
0.6567 0.3433 0.6760 Te
0.6921 0.3079 0.0144 Te
0.6954 0.3046 0.3426 Te
0.9798 0.0202 0.6696 Te
```


(6)
Computed XRD peak list of Ac2TlCu2 for Cu Kα (weighted mean of Kα1 and Kα2), from a DFT-relaxed cell (GGA-PBE, Alexandria).

Principal peaks in the range 2θ from 10° to 80°, low angle first:
d_spacing  I (rel.)
3.367  51.4
2.940  100.0
2.783  76.0
2.532  37.7
2.234  25.2
1.742  38.9

```
Ac2TlCu2
1.0
2.2338 -7.6831 0.0000
2.2338 7.6831 0.0000
0.0000 0.0000 4.0374
Ac Tl Cu
2 1 2
direct
0.1324 0.8676 0.0000 Ac
0.8676 0.1324 0.0000 Ac
0.5000 0.5000 0.5000 Tl
0.2909 0.7091 0.5000 Cu
0.7091 0.2909 0.5000 Cu
```


(7)
Computed XRD peak list of Ac3Tl3Cu2 for Cu Kα (weighted mean of Kα1 and Kα2), from a DFT-relaxed cell (GGA-PBE, Alexandria).

Principal peaks in the range 2θ from 10° to 80°, low angle first:
d_spacing  I (rel.)
3.620  40.1
3.090  61.9
2.895  100.0
2.734  33.3
2.691  29.5
2.074  26.6

```
Ac3Tl3Cu2
1.0
4.1477 0.0000 0.0000
0.0019 5.4117 0.0000
2.0711 1.5514 10.8606
Ac Tl Cu
3 3 2
direct
0.0000 0.0000 0.0000 Ac
0.1372 0.5904 0.7255 Ac
0.8628 0.4096 0.2745 Ac
0.3174 0.9033 0.3648 Tl
0.5000 0.5000 0.0000 Tl
0.6826 0.0967 0.6352 Tl
0.2568 0.3568 0.4855 Cu
0.7432 0.6432 0.5145 Cu
```


(8)
Computed XRD peak list of Ac8TlCu2 for Cu Kα (weighted mean of Kα1 and Kα2), from a DFT-relaxed cell (GGA-PBE, Alexandria).

Principal peaks in the range 2θ from 10° to 80°, low angle first:
d_spacing  I (rel.)
3.210  75.2
3.114  100.0
3.025  67.7
2.974  55.0
2.874  73.4
1.892  29.6

```
Ac8TlCu2
1.0
4.7904 -7.3596 0.0000
4.7904 7.3596 0.0000
-1.6795 0.0000 5.8413
Ac Tl Cu
8 1 2
direct
0.0000 0.0000 0.0000 Ac
0.0586 0.3121 0.6113 Ac
0.1470 0.6310 0.1928 Ac
0.3121 0.0586 0.6113 Ac
0.4658 0.7193 0.7744 Ac
0.6310 0.1470 0.1928 Ac
0.7193 0.4658 0.7744 Ac
0.7776 0.7776 0.3852 Ac
0.3888 0.3888 0.1916 Tl
0.0817 0.6965 0.6929 Cu
0.6965 0.0817 0.6929 Cu
```